The following is a theoretical powder X-ray diffraction pattern of Ti5Ga2Si2. It was derived from a crystal structure in Alexandria, relaxed with PBE, using a wavelength of 1.5418 Å.

Most intense lines, 10° ≤ 2θ ≤ 90°, in order of rising 2θ:
| d/Å | I/Imax |
| --- | --- |
| 2.455 | 66 |
| 2.367 | 100 |
| 2.331 | 86 |
| 2.321 | 83 |
| 2.270 | 78 |
| 2.200 | 68 |

Atomic structure:
```
Ti5Ga2Si2
1.0
6.468 -3.363 0.000
6.468 3.363 0.000
0.000 0.000 6.664
Ti Ga Si
10 4 4
Cartesian
0.000 0.000 0.000
4.794 2.167 4.507
4.794 1.196 1.175
8.143 2.167 4.507
8.143 1.196 1.175
6.468 0.000 3.332
4.794 -1.196 5.489
4.794 -2.167 2.157
8.143 -1.196 5.489
8.143 -2.167 2.157
2.761 0.000 0.000
3.708 0.000 3.332
9.229 0.000 3.332
10.176 0.000 0.000
6.468 2.519 2.490
6.468 0.844 5.822
6.468 -0.844 0.842
6.468 -2.519 4.173
```